1.
Starting from a crystal structure in the Materials Project, relaxed with PBE, the powder diffraction line list of FeNiSn was computed for Cu Kα (λ = 1.5418 Å).
Lines closer than 0.1° are merged.

The 10 most intense peaks (10° ≤ 2θ ≤ 80°), sorted by position:
| 2θ/deg | Rel. int. |
| --- | --- |
| 24.39 | 17 |
| 39.56 | 100 |
| 42.93 | 70 |
| 49.99 | 3 |
| 59.79 | 30 |
| 63.83 | 7 |
| 67.97 | 3 |
| 69.41 | 3 |
| 76.39 | 29 |
| 78.67 | 12 |

```
FeNiSn
1.0
4.213 0.000 0.000
-2.107 3.649 0.000
0.000 0.000 2.916
Fe Ni Sn
1 1 1
direct
0.000 0.000 0.000
0.667 0.333 0.000
0.333 0.667 0.500
```

2.
Starting from a crystal structure in the Materials Project, relaxed with PBE, the powder diffraction line list of Na4Mg2P2SO12 was computed for Cu Kα (λ = 1.5418 Å).
Lines closer than 0.1° are merged.

The 10 most intense peaks (10° ≤ 2θ ≤ 80°), sorted by position:
| 2θ/deg | Rel. int. |
| --- | --- |
| 23.18 | 73 |
| 24.33 | 39 |
| 30.55 | 28 |
| 30.64 | 14 |
| 31.50 | 100 |
| 34.43 | 37 |
| 34.57 | 19 |
| 42.01 | 18 |
| 47.44 | 28 |
| 62.01 | 16 |

```
Na4Mg2P2SO12
1.0
7.766 -4.518 0.000
7.766 4.518 0.000
-5.157 0.000 7.335
Na Mg P S O
8 4 4 2 24
direct
0.059 0.941 0.500
0.187 0.426 0.632
0.309 0.829 0.892
0.426 0.187 0.132
0.570 0.713 0.277
0.713 0.570 0.777
0.829 0.309 0.392
0.941 0.059 0.000
0.151 0.671 0.030
0.465 0.965 0.732
0.671 0.151 0.530
0.965 0.465 0.232
0.065 0.269 0.839
0.269 0.065 0.339
0.766 0.863 0.134
0.863 0.766 0.634
0.360 0.565 0.429
0.565 0.360 0.929
0.038 0.295 0.008
0.041 0.739 0.799
0.091 0.230 0.311
0.098 0.436 0.866
0.199 0.536 0.403
0.230 0.091 0.811
0.250 0.894 0.164
0.295 0.038 0.508
0.336 0.592 0.267
0.383 0.725 0.597
0.406 0.528 0.956
0.436 0.098 0.366
0.528 0.406 0.456
0.536 0.199 0.903
0.591 0.886 0.964
0.592 0.336 0.767
0.694 0.792 0.662
0.725 0.383 0.097
0.739 0.041 0.299
0.792 0.694 0.162
0.838 0.936 0.609
0.886 0.591 0.464
0.894 0.250 0.664
0.936 0.838 0.109
```

3.
Starting from a crystal structure in the Materials Project, relaxed with PBE, the powder diffraction line list of Hf3Nb2Ga3 was computed for Cu Kα (λ = 1.5418 Å).
Lines closer than 0.1° are merged.

The 10 most intense peaks (10° ≤ 2θ ≤ 80°), sorted by position:
| 2θ/deg | Rel. int. |
| --- | --- |
| 27.76 | 19 |
| 32.75 | 19 |
| 34.50 | 27 |
| 35.32 | 17 |
| 38.33 | 100 |
| 39.29 | 25 |
| 40.03 | 44 |
| 61.12 | 15 |
| 62.19 | 24 |
| 63.95 | 18 |

```
Hf3Nb2Ga3
1.0
7.943 0.000 0.000
-3.971 6.879 0.000
0.000 0.000 5.469
Hf Nb Ga
6 4 6
direct
0.000 0.246 0.250
0.000 0.754 0.750
0.246 0.000 0.250
0.246 0.246 0.750
0.754 0.000 0.750
0.754 0.754 0.250
0.333 0.667 0.000
0.333 0.667 0.500
0.667 0.333 0.000
0.667 0.333 0.500
0.000 0.396 0.750
0.000 0.604 0.250
0.396 0.000 0.750
0.396 0.396 0.250
0.604 0.000 0.250
0.604 0.604 0.750
```